# La
Theoretical XRD peak list, Cu Kα (λ = 1.5418 Å). Input: a cell relaxed with PBE.
Intensities are scaled so that the largest is 100.

Most intense lines, 2θ = 5–70°, low angle first:
- 29.92°, rel. 100
- 42.82°, rel. 19
- 53.11°, rel. 40
- 62.16°, rel. 12

Crystal structure
a b c (Å): 4.2236 4.2236 4.2236
angles (deg): 90.00 90.00 90.00
Space group Im-3m (No. 229)
Asymmetric unit:
La  0.0000  0.0000  0.0000 (multiplicity 2)

=====

# La
Theoretical XRD peak list, Cu Kα (λ = 1.5418 Å). Input: a cell relaxed with PBE.
Intensities are scaled so that the largest is 100.

Most intense lines, 2θ = 5–70°, low angle first:
- 27.31°, rel. 8
- 28.31°, rel. 43
- 29.62°, rel. 34
- 31.14°, rel. 100
- 35.41°, rel. 24
- 46.81°, rel. 11
- 48.26°, rel. 26
- 53.52°, rel. 22
- 57.65°, rel. 31
- 58.56°, rel. 16

Crystal structure
a b c (Å): 3.7712 3.7712 12.0649
angles (deg): 90.00 90.00 120.00
Space group P6_3/mmc (No. 194)
Asymmetric unit:
La  0.0000  0.0000  0.0000 (multiplicity 2)
La  0.3333  0.6667  0.2500 (multiplicity 2)